Entry 1:
Structure and simulated PXRD pattern of CaTb2UP4 (a crystal structure in Alexandria, relaxed with GGA-PBE; CuKα).
Lines closer than 0.1° are merged.

a b c (Å): 6.959 6.959 6.959
angles (deg): 131.81 131.81 70.53
Sites, in units of the cell vectors:
Ca (0.000, 0.000, 0.000)
Tb (0.500, 0.500, 0.000)
Tb (0.750, 0.250, 0.500)
U (0.250, 0.750, 0.500)
P (0.011, 0.511, 0.500)
P (0.254, 0.254, 0.000)
P (0.489, 0.989, 0.500)
P (0.746, 0.746, 0.000)

Main lines, most intense first (15 to 90 degrees two-theta):
two_theta	intensity
31.49	100
27.18	81
45.13	73
53.49	40
74.71	33
56.07	25
83.31	25
17.45	20
72.51	17
89.66	13

Entry 2:
Structure and simulated PXRD pattern of Ca2Tc12P7 (a crystal structure in Alexandria, relaxed with GGA-PBE; CuKα).
Lines closer than 0.1° are merged.

a b c (Å): 9.578 9.578 3.955
angles (deg): 90.00 90.00 120.00
Sites, in units of the cell vectors:
Ca (0.000, 0.000, 0.000)
Ca (0.333, 0.667, 0.500)
Tc (0.071, 0.305, 0.500)
Tc (0.101, 0.732, 0.000)
Tc (0.234, 0.929, 0.500)
Tc (0.268, 0.369, 0.000)
Tc (0.395, 0.177, 0.000)
Tc (0.544, 0.427, 0.500)
Tc (0.573, 0.117, 0.500)
Tc (0.631, 0.899, 0.000)
Tc (0.695, 0.766, 0.500)
Tc (0.781, 0.605, 0.000)
Tc (0.823, 0.219, 0.000)
Tc (0.883, 0.456, 0.500)
P (0.068, 0.468, 0.000)
P (0.267, 0.202, 0.500)
P (0.400, 0.932, 0.000)
P (0.532, 0.600, 0.000)
P (0.667, 0.333, 0.000)
P (0.798, 0.064, 0.500)
P (0.936, 0.733, 0.500)

Main lines, most intense first (15 to 90 degrees two-theta):
two_theta	intensity
36.57	100
45.62	47
45.88	27
18.53	20
47.80	20
39.78	19
50.41	15
68.41	13
39.16	12
29.28	11

Entry 3:
Structure and simulated PXRD pattern of CaTc5P3 (a crystal structure in Alexandria, relaxed with GGA-PBE; CuKα).
Lines closer than 0.1° are merged.

a b c (Å): 6.746 6.746 11.435
angles (deg): 90.00 90.00 145.54
Sites, in units of the cell vectors:
Ca (0.171, 0.829, 0.750)
Ca (0.829, 0.171, 0.250)
Tc (0.000, 0.000, 0.000)
Tc (0.000, 0.000, 0.500)
Tc (0.192, 0.808, 0.059)
Tc (0.192, 0.808, 0.441)
Tc (0.462, 0.538, 0.644)
Tc (0.462, 0.538, 0.856)
Tc (0.538, 0.462, 0.144)
Tc (0.538, 0.462, 0.356)
Tc (0.808, 0.192, 0.559)
Tc (0.808, 0.192, 0.941)
P (0.124, 0.876, 0.250)
P (0.371, 0.629, 0.049)
P (0.371, 0.629, 0.451)
P (0.629, 0.371, 0.549)
P (0.629, 0.371, 0.951)
P (0.876, 0.124, 0.750)

Main lines, most intense first (15 to 90 degrees two-theta):
two_theta	intensity
39.38	100
15.50	89
45.39	70
33.22	69
30.56	66
44.75	61
15.79	52
46.28	43
28.11	40
69.71	34

Entry 4:
Structure and simulated PXRD pattern of Ca6Te4P (a crystal structure in Alexandria, relaxed with GGA-PBE; CuKα).
Lines closer than 0.1° are merged.

a b c (Å): 8.832 8.832 8.832
angles (deg): 89.32 89.32 89.32
Sites, in units of the cell vectors:
Ca (0.056, 0.924, 0.704)
Ca (0.076, 0.296, 0.944)
Ca (0.204, 0.424, 0.556)
Ca (0.296, 0.944, 0.076)
Ca (0.424, 0.556, 0.204)
Ca (0.444, 0.796, 0.576)
Ca (0.556, 0.204, 0.424)
Ca (0.576, 0.444, 0.796)
Ca (0.704, 0.056, 0.924)
Ca (0.796, 0.576, 0.444)
Ca (0.924, 0.704, 0.056)
Ca (0.944, 0.076, 0.296)
Te (0.118, 0.750, 0.382)
Te (0.250, 0.250, 0.250)
Te (0.250, 0.618, 0.882)
Te (0.382, 0.118, 0.750)
Te (0.618, 0.882, 0.250)
Te (0.750, 0.382, 0.118)
Te (0.750, 0.750, 0.750)
Te (0.882, 0.250, 0.618)
P (0.000, 0.000, 0.000)
P (0.500, 0.500, 0.500)

Main lines, most intense first (15 to 90 degrees two-theta):
two_theta	intensity
24.82	100
33.70	90
22.41	69
30.53	38
31.93	36
43.21	29
34.77	28
43.51	27
38.30	25
43.72	23

Copy entry 1 word for word.
Structure and simulated PXRD pattern of CaTb2UP4 (a crystal structure in Alexandria, relaxed with GGA-PBE; CuKα).
Lines closer than 0.1° are merged.

a b c (Å): 6.959 6.959 6.959
angles (deg): 131.81 131.81 70.53
Sites, in units of the cell vectors:
Ca (0.000, 0.000, 0.000)
Tb (0.500, 0.500, 0.000)
Tb (0.750, 0.250, 0.500)
U (0.250, 0.750, 0.500)
P (0.011, 0.511, 0.500)
P (0.254, 0.254, 0.000)
P (0.489, 0.989, 0.500)
P (0.746, 0.746, 0.000)

Main lines, most intense first (15 to 90 degrees two-theta):
two_theta	intensity
31.49	100
27.18	81
45.13	73
53.49	40
74.71	33
56.07	25
83.31	25
17.45	20
72.51	17
89.66	13